# 1
La2Dy2Se5: calculated X-ray powder pattern (Cu Kα (λ = 1.5418 Å)), based on a crystal structure in Alexandria, relaxed with GGA-PBE.
Intensities are scaled so that the largest is 100.

Top 10 peaks for 5 to 70 degrees two-theta, low angle first:
- (2 2 1), 28.01 deg, intensity 51
- (3 1 2), 31.18 deg, intensity 100
- (0 2 2), 32.25 deg, intensity 45
- (5 1 1), 33.98 deg, intensity 37
- (4 2 1), 34.98 deg, intensity 91
- (6 0 0), 35.94 deg, intensity 32
- (1 3 1), 36.58 deg, intensity 71
- (1 1 3), 36.80 deg, intensity 72
- (5 1 2), 39.56 deg, intensity 37
- (5 1 3), 47.64 deg, intensity 31

Structural model:
Unit cell a=14.991 b=7.879 c=7.823 alpha=90.00 beta=90.00 gamma=90.00
Space group Cmce (No. 64)
Asymmetric unit:
La 0.197 0.000 0.000
Dy 0.000 0.151 0.344
Se 0.000 0.000 0.000
Se 0.132 0.157 0.653



# 2
LaDy3Se4: calculated X-ray powder pattern (Cu Kα (λ = 1.5418 Å)), based on a crystal structure in Alexandria, relaxed with GGA-PBE.
Intensities are scaled so that the largest is 100.

Top 10 peaks for 5 to 70 degrees two-theta, low angle first:
- (2 2 0), 26.16 deg, intensity 10
- (0 2 1), 26.62 deg, intensity 9
- (2 0 1), 30.57 deg, intensity 100
- (4 0 0), 43.20 deg, intensity 13
- (2 4 1), 43.77 deg, intensity 49
- (0 0 2), 44.38 deg, intensity 12
- (4 2 1), 51.47 deg, intensity 3
- (4 4 0), 53.83 deg, intensity 13
- (0 4 2), 54.83 deg, intensity 13
- (4 0 2), 63.63 deg, intensity 12

Structural model:
Unit cell a=8.377 b=11.705 c=4.083 alpha=90.00 beta=90.00 gamma=90.00
Space group Cmmm (No. 65)
Asymmetric unit:
La 0.000 0.000 0.000
Dy 0.000 0.500 0.000
Dy 0.250 0.250 0.500
Se 0.000 0.256 0.000
Se 0.237 0.500 0.500